# 1
Diffraction record for K3LaP2O8. The powder diffractogram is simulated, not measured: it uses the GGA-PBE geometry in Alexandria and Cu Ka.
No peak broadening, texture or thermal motion is included.

The 10 most intense peaks (2θ from 10° to 90°), in order of falling intensity:
d [Å]	2θ (°)	I/Imax
7.611	11.63	100
3.004	29.74	97
3.031	29.47	93
2.828	31.64	92
4.135	21.49	86
2.878	31.07	77
4.956	17.90	38
2.068	43.79	31
2.086	43.37	25
3.320	26.85	22

Structure:
a b c (Å): 7.612 5.756 9.744
angles (deg): 90.00 91.18 90.00
Atoms (fractional coordinates):
K (0.007, 0.250, 0.191)
K (0.142, 0.750, 0.407)
K (0.296, 0.250, 0.915)
K (0.704, 0.750, 0.085)
K (0.858, 0.250, 0.593)
K (0.993, 0.750, 0.809)
La (0.494, 0.750, 0.709)
La (0.506, 0.250, 0.291)
P (0.264, 0.750, 0.085)
P (0.302, 0.250, 0.573)
P (0.698, 0.750, 0.427)
P (0.736, 0.250, 0.915)
O (0.063, 0.750, 0.100)
O (0.215, 0.250, 0.426)
O (0.246, 0.029, 0.653)
O (0.246, 0.471, 0.653)
O (0.318, 0.750, 0.931)
O (0.344, 0.529, 0.157)
O (0.344, 0.971, 0.157)
O (0.495, 0.750, 0.446)
O (0.505, 0.250, 0.554)
O (0.656, 0.029, 0.843)
O (0.656, 0.471, 0.843)
O (0.682, 0.250, 0.069)
O (0.754, 0.529, 0.347)
O (0.754, 0.971, 0.347)
O (0.785, 0.750, 0.574)
O (0.937, 0.250, 0.900)

# 2
Diffraction record for TlAgH. The powder diffractogram is simulated, not measured: it uses the GGA-PBE geometry in Alexandria and Cu Ka.
No peak broadening, texture or thermal motion is included.

The 10 most intense peaks (2θ from 10° to 90°), in order of falling intensity:
d [Å]	2θ (°)	I/Imax
3.026	29.52	100
2.839	31.51	95
2.852	31.37	83
2.571	34.90	60
2.373	37.91	53
1.934	46.99	41
2.041	44.39	41
2.101	43.05	31
1.781	51.29	29
1.868	48.76	23

Structure:
a b c (Å): 12.200 12.200 2.935
angles (deg): 90.00 90.00 165.72
Atoms (fractional coordinates):
Tl (0.187, 0.813, 0.750)
Tl (0.813, 0.187, 0.250)
Ag (0.441, 0.559, 0.250)
Ag (0.559, 0.441, 0.750)
H (0.059, 0.941, 0.250)
H (0.941, 0.059, 0.750)

# 3
Diffraction record for Ce7PuPt2. The powder diffractogram is simulated, not measured: it uses the GGA-PBE geometry in Alexandria and Cu Ka.
No peak broadening, texture or thermal motion is included.

The 10 most intense peaks (2θ from 10° to 90°), in order of falling intensity:
d [Å]	2θ (°)	I/Imax
2.692	33.28	100
2.718	32.95	60
2.248	40.10	40
2.859	31.28	33
2.257	39.95	30
1.862	48.91	19
2.823	31.70	19
2.450	36.69	19
1.500	61.88	16
3.934	22.60	16

Structure:
a b c (Å): 8.578 8.578 9.412
angles (deg): 119.42 119.42 55.79
Atoms (fractional coordinates):
Ce (0.000, 0.000, 0.250)
Ce (0.000, 0.000, 0.750)
Ce (0.119, 0.578, 0.176)
Ce (0.183, 0.420, 0.468)
Ce (0.242, 0.618, 0.881)
Ce (0.382, 0.758, 0.619)
Ce (0.420, 0.183, 0.968)
Ce (0.422, 0.881, 0.324)
Ce (0.578, 0.119, 0.676)
Ce (0.580, 0.817, 0.032)
Ce (0.618, 0.242, 0.381)
Ce (0.758, 0.382, 0.119)
Ce (0.817, 0.580, 0.532)
Ce (0.881, 0.422, 0.824)
Pu (0.478, 0.522, 0.250)
Pu (0.522, 0.478, 0.750)
Pt (0.157, 0.183, 0.614)
Pt (0.183, 0.157, 0.114)
Pt (0.817, 0.843, 0.886)
Pt (0.843, 0.817, 0.386)